Starting from a GGA-PBE-relaxed structure, the XRD peak list of Li8P2F was calculated for Cu Kα (λ = 1.5418 Å).
Intensities are scaled so that the largest is 100.

Largest 10 diffraction maxima, sorted by position, 2θ from 10° to 90°:
d_spacing	two_theta	Rel. int.
3.794	23.4	91
3.313	26.9	53
3.276	27.2	100
3.108	28.7	68
2.305	39.1	22
2.123	42.6	60
2.072	43.7	35
1.989	45.6	27
1.942	46.8	35
1.838	49.6	23

Atomic structure:
Cell lengths 7.547, 7.547, 5.397 Å; angles 103.27, 103.27, 31.87 degrees
Element x y z (fractional)
Li  0.022  0.022  0.274
Li  0.225  0.225  0.136
Li  0.325  0.325  0.587
Li  0.408  0.408  0.186
Li  0.592  0.592  0.814
Li  0.675  0.675  0.413
Li  0.775  0.775  0.864
Li  0.978  0.978  0.726
P  0.157  0.157  0.664
P  0.843  0.843  0.336
F  0.500  0.500  0.000